No. 1
Computed X-ray diffraction stick pattern
Compound: Pm5Pr2Er4
Radiation: Cu Kα X-rays
Structure: the GGA-PBE geometry in Alexandria
Neutral-atom scattering factors, no anomalous dispersion.

Peak list (6 most intense, 10° ≤ 2θ ≤ 80°, low angle first)
2theta, intensity
30.10, 1000
30.95, 541
32.74, 494
33.45, 658
34.50, 451
35.05, 606

Structure:
Lattice parameters (Å, degrees): 11.1062 11.1062 11.1062 161.75 117.29 65.90
Sites, in units of the cell vectors:
1 Pm 0.0000 0.0000 0.0000
2 Pm 0.1119 0.3239 0.7880
3 Pm 0.4641 0.6761 0.7880
4 Pm 0.5359 0.3239 0.2120
5 Pm 0.8881 0.6761 0.2120
6 Pr 0.2031 0.7031 0.5000
7 Pr 0.7969 0.2969 0.5000
8 Er 0.2765 0.5000 0.7765
9 Er 0.4123 0.9123 0.5000
10 Er 0.5877 0.0877 0.5000
11 Er 0.7235 0.5000 0.2235

No. 2
Computed X-ray diffraction stick pattern
Compound: Pm4Pr2Er7
Radiation: Cu Kα X-rays
Structure: the GGA-PBE geometry in Alexandria
Neutral-atom scattering factors, no anomalous dispersion.

Peak list (6 most intense, 10° ≤ 2θ ≤ 80°, low angle first)
2theta, intensity
30.06, 506
32.23, 1000
35.58, 351
50.44, 196
51.97, 307
63.04, 304

Structure:
Lattice parameters (Å, degrees): 6.0956 6.0956 13.4903 90.00 90.00 120.00
Sites, in units of the cell vectors:
1 Pm 0.0000 0.0000 0.1068
2 Pm 0.0000 0.0000 0.8932
3 Pm 0.3333 0.6667 0.0000
4 Pm 0.6667 0.3333 0.0000
5 Pr 0.3333 0.6667 0.5000
6 Pr 0.6667 0.3333 0.5000
7 Er 0.0000 0.0000 0.5000
8 Er 0.0000 0.3492 0.7131
9 Er 0.0000 0.6508 0.2869
10 Er 0.3492 0.0000 0.7131
11 Er 0.3492 0.3492 0.2869
12 Er 0.6508 0.0000 0.2869
13 Er 0.6508 0.6508 0.7131

No. 3
Computed X-ray diffraction stick pattern
Compound: Pm2Pr5Er
Radiation: Cu Kα X-rays
Structure: the GGA-PBE geometry in Alexandria
Neutral-atom scattering factors, no anomalous dispersion.

Peak list (6 most intense, 10° ≤ 2θ ≤ 80°, low angle first)
2theta, intensity
29.81, 1000
34.55, 507
49.65, 303
58.98, 289
59.08, 144
61.85, 62

Structure:
Lattice parameters (Å, degrees): 7.3283 14.7015 5.1947 90.00 90.00 90.00
Sites, in units of the cell vectors:
1 Pm 0.2500 0.1236 0.0000
2 Pm 0.2500 0.6236 0.0000
3 Pm 0.7500 0.3764 0.0000
4 Pm 0.7500 0.8764 0.0000
5 Pr 0.0000 0.0000 0.5000
6 Pr 0.0013 0.7482 0.5000
7 Pr 0.2479 0.3765 0.0000
8 Pr 0.2521 0.8765 0.0000
9 Pr 0.4987 0.2482 0.5000
10 Pr 0.5000 0.5000 0.5000
11 Pr 0.5013 0.7518 0.5000
12 Pr 0.7479 0.1235 0.0000
13 Pr 0.7521 0.6235 0.0000
14 Pr 0.9987 0.2518 0.5000
15 Er 0.0000 0.5000 0.5000
16 Er 0.5000 0.0000 0.5000

No. 4
Computed X-ray diffraction stick pattern
Compound: Pm5Pr2Er5
Radiation: Cu Kα X-rays
Structure: the GGA-PBE geometry in Alexandria
Neutral-atom scattering factors, no anomalous dispersion.

Peak list (6 most intense, 10° ≤ 2θ ≤ 80°, low angle first)
2theta, intensity
30.41, 1000
35.20, 339
35.36, 168
50.75, 241
60.19, 216
60.43, 143

Structure:
Lattice parameters (Å, degrees): 8.0521 8.0521 11.4157 115.14 115.14 36.75
Sites, in units of the cell vectors:
1 Pm 0.0000 0.0000 0.0000
2 Pm 0.1659 0.1659 0.4991
3 Pm 0.2482 0.2482 0.2475
4 Pm 0.7518 0.7518 0.7525
5 Pm 0.8341 0.8341 0.5009
6 Pr 0.0827 0.0827 0.7511
7 Pr 0.9173 0.9173 0.2489
8 Er 0.3330 0.3330 0.9991
9 Er 0.4167 0.4167 0.7508
10 Er 0.5000 0.5000 0.5000
11 Er 0.5833 0.5833 0.2492
12 Er 0.6670 0.6670 0.0009

No. 5
Computed X-ray diffraction stick pattern
Compound: Pm7Pr2Er4
Radiation: Cu Kα X-rays
Structure: the GGA-PBE geometry in Alexandria
Neutral-atom scattering factors, no anomalous dispersion.

Peak list (6 most intense, 10° ≤ 2θ ≤ 80°, low angle first)
2theta, intensity
30.28, 1000
35.01, 170
35.16, 336
50.44, 182
50.55, 180
60.09, 178

Structure:
Lattice parameters (Å, degrees): 6.2549 6.2743 11.4244 90.12 100.54 99.76
Sites, in units of the cell vectors:
1 Pm 0.0000 0.0000 0.0000
2 Pm 0.0786 0.8450 0.3047
3 Pm 0.2312 0.5401 0.9242
4 Pm 0.3851 0.2319 0.5393
5 Pm 0.6149 0.7681 0.4607
6 Pm 0.7688 0.4599 0.0758
7 Pm 0.9214 0.1550 0.6953
8 Pr 0.1529 0.6953 0.6178
9 Pr 0.8471 0.3047 0.3822
10 Er 0.3094 0.3841 0.2282
11 Er 0.4632 0.0787 0.8482
12 Er 0.5368 0.9213 0.1518
13 Er 0.6906 0.6159 0.7718

No. 6
Computed X-ray diffraction stick pattern
Compound: PmPr4Er3
Radiation: Cu Kα X-rays
Structure: the GGA-PBE geometry in Alexandria
Neutral-atom scattering factors, no anomalous dispersion.

Peak list (6 most intense, 10° ≤ 2θ ≤ 80°, low angle first)
2theta, intensity
30.18, 1000
34.86, 171
35.06, 336
50.27, 243
59.63, 145
59.90, 287

Structure:
Lattice parameters (Å, degrees): 10.2945 7.2416 7.2375 90.00 90.00 90.00
Sites, in units of the cell vectors:
1 Pm 0.0000 0.0000 0.0000
2 Pm 0.5000 0.0000 0.5000
3 Pr 0.0000 0.0000 0.5000
4 Pr 0.0000 0.5000 0.0000
5 Pr 0.2500 0.2515 0.2500
6 Pr 0.2500 0.7485 0.7500
7 Pr 0.5000 0.0000 0.0000
8 Pr 0.5000 0.5000 0.5000
9 Pr 0.7500 0.2515 0.2500
10 Pr 0.7500 0.7485 0.7500
11 Er 0.0000 0.5000 0.5000
12 Er 0.2500 0.2524 0.7500
13 Er 0.2500 0.7476 0.2500
14 Er 0.5000 0.5000 0.0000
15 Er 0.7500 0.2524 0.7500
16 Er 0.7500 0.7476 0.2500

No. 7
Computed X-ray diffraction stick pattern
Compound: Pm7PrEr4
Radiation: Cu Kα X-rays
Structure: the GGA-PBE geometry in Alexandria
Neutral-atom scattering factors, no anomalous dispersion.

Peak list (6 most intense, 10° ≤ 2θ ≤ 80°, low angle first)
2theta, intensity
29.83, 1000
31.17, 421
31.74, 553
32.36, 760
33.13, 729
43.69, 351

Structure:
Lattice parameters (Å, degrees): 8.5902 8.5902 9.4581 115.07 115.07 40.82
Sites, in units of the cell vectors:
1 Pm 0.0000 0.0000 0.0000
2 Pm 0.2840 0.2840 0.1141
3 Pm 0.2855 0.2855 0.7573
4 Pm 0.4129 0.4129 0.5460
5 Pm 0.5871 0.5871 0.4540
6 Pm 0.7145 0.7145 0.2427
7 Pm 0.7160 0.7160 0.8859
8 Pr 0.5000 0.5000 0.0000
9 Er 0.0704 0.0704 0.6985
10 Er 0.1687 0.1687 0.3797
11 Er 0.8313 0.8313 0.6203
12 Er 0.9296 0.9296 0.3015

No. 8
Computed X-ray diffraction stick pattern
Compound: PmPrEr2S4
Radiation: Cu Kα X-rays
Structure: the GGA-PBE geometry in Alexandria
Neutral-atom scattering factors, no anomalous dispersion.

Peak list (6 most intense, 10° ≤ 2θ ≤ 80°, low angle first)
2theta, intensity
26.76, 220
27.68, 198
27.84, 390
31.90, 1000
45.14, 247
46.32, 233

Structure:
Lattice parameters (Å, degrees): 6.8010 3.9022 7.0313 90.00 108.63 90.00
Sites, in units of the cell vectors:
1 Pm 0.0000 0.0000 0.0000
2 Pr 0.5000 0.5000 0.0000
3 Er 0.0000 0.5000 0.5000
4 Er 0.5000 0.0000 0.5000
5 S 0.2402 0.0000 0.7288
6 S 0.2543 0.5000 0.2693
7 S 0.7457 0.5000 0.7307
8 S 0.7598 0.0000 0.2712

Repeat the first record exactly.
Computed X-ray diffraction stick pattern
Compound: Pm5Pr2Er4
Radiation: Cu Kα X-rays
Structure: the GGA-PBE geometry in Alexandria
Neutral-atom scattering factors, no anomalous dispersion.

Peak list (6 most intense, 10° ≤ 2θ ≤ 80°, low angle first)
2theta, intensity
30.10, 1000
30.95, 541
32.74, 494
33.45, 658
34.50, 451
35.05, 606

Structure:
Lattice parameters (Å, degrees): 11.1062 11.1062 11.1062 161.75 117.29 65.90
Sites, in units of the cell vectors:
1 Pm 0.0000 0.0000 0.0000
2 Pm 0.1119 0.3239 0.7880
3 Pm 0.4641 0.6761 0.7880
4 Pm 0.5359 0.3239 0.2120
5 Pm 0.8881 0.6761 0.2120
6 Pr 0.2031 0.7031 0.5000
7 Pr 0.7969 0.2969 0.5000
8 Er 0.2765 0.5000 0.7765
9 Er 0.4123 0.9123 0.5000
10 Er 0.5877 0.0877 0.5000
11 Er 0.7235 0.5000 0.2235

What did the eighth record say?
Computed X-ray diffraction stick pattern
Compound: PmPrEr2S4
Radiation: Cu Kα X-rays
Structure: the GGA-PBE geometry in Alexandria
Neutral-atom scattering factors, no anomalous dispersion.

Peak list (6 most intense, 10° ≤ 2θ ≤ 80°, low angle first)
2theta, intensity
26.76, 220
27.68, 198
27.84, 390
31.90, 1000
45.14, 247
46.32, 233

Structure:
Lattice parameters (Å, degrees): 6.8010 3.9022 7.0313 90.00 108.63 90.00
Sites, in units of the cell vectors:
1 Pm 0.0000 0.0000 0.0000
2 Pr 0.5000 0.5000 0.0000
3 Er 0.0000 0.5000 0.5000
4 Er 0.5000 0.0000 0.5000
5 S 0.2402 0.0000 0.7288
6 S 0.2543 0.5000 0.2693
7 S 0.7457 0.5000 0.7307
8 S 0.7598 0.0000 0.2712